Starting from a crystal structure in Alexandria, relaxed with GGA-PBE, the powder X-ray diffraction pattern of CeNdTeP was calculated for Cu Kα X-rays.
Intensities are scaled so that the largest is 100.

Peak list (10 most intense, 2θ = 10–90°, in order of rising 2θ)
| 2theta | I/Imax | (hkl) |
| --- | --- | --- |
| 24.82 | 38 | 1 0 1 |
| 25.77 | 16 | 0 1 2 |
| 29.29 | 56 | 1 0 4 |
| 31.69 | 100 | 0 1 5 |
| 37.43 | 22 | 1 0 7 |
| 43.12 | 52 | 1 1 0 |
| 47.66 | 16 | 1 0 10 |
| 54.49 | 21 | 2 0 5 |
| 57.42 | 20 | 1 1 9 |
| 71.90 | 18 | 1 2 5 |

Structure:
Cell lengths 4.1958, 4.1958, 22.4223 Å; angles 90.00, 90.00, 120.00 degrees
Space group R3m (No. 160, hexagonal axes)
One atom of each set of equivalent atoms:
Ce (0.0000, 0.0000, 0.0000) [3 per cell]
Nd (0.0000, 0.0000, 0.1934) [3 per cell]
Te (0.0000, 0.0000, 0.4285) [3 per cell]
P (0.0000, 0.0000, 0.5992) [3 per cell]